# 1
Theoretical powder XRD pattern
Compound: CoBP2HPbO9
Radiation: a wavelength of 1.5418 Å
Structure: a structure optimized by DFT (GGA+U)
Intensities are scaled so that the largest is 100.

Structure:
a = 5.2745 Å, b = 8.0773 Å, c = 8.4485 Å
α = 89.86°, β = 79.55°, γ = 87.87°
Space group P-1 (No. 2)
Unique sites:
Co  0.2374  0.3054  0.1923 x2
B  0.3693  0.2383  0.5444 x2
P  0.2686  0.4350  0.8147 x2
P  0.3045  0.9280  0.7074 x2
H  0.0137  0.2589  0.4777 x2
Pb  0.2329  0.8019  0.0783 x2
O  0.0190  0.5306  0.1937 x2
O  0.0547  0.8698  0.8115 x2
O  0.1913  0.2902  0.4375 x2
O  0.2368  0.1054  0.6490 x2
O  0.2861  0.2918  0.9377 x2
O  0.3769  0.8170  0.5513 x2
O  0.4005  0.5901  0.8581 x2
O  0.4281  0.3718  0.6482 x2
O  0.4792  0.0728  0.1922 x2

Peak list (6 most intense, 2θ from 10° to 90°, by intensity)
- 2θ = 10.65°, rel. 100, hkl 0 0 1
- 2θ = 27.51°, rel. 33, hkl 1 -1 2
- 2θ = 31.68°, rel. 30, hkl -1 2 1
- 2θ = 24.13°, rel. 28, hkl 0 1 2
- 2θ = 28.42°, rel. 24, hkl 1 2 1
- 2θ = 34.26°, rel. 22, hkl 0 1 3

=====

# 2
Theoretical powder XRD pattern
Compound: Ba2MgCrMoO6
Radiation: a wavelength of 1.5418 Å
Structure: a structure optimized by DFT (GGA+U)
Intensities are scaled so that the largest is 100.

Structure:
a = 10.4716 Å, b = 6.0512 Å, c = 6.6456 Å
α = 90.00°, β = 120.88°, γ = 90.00°
Space group Cm (No. 8)
Unique sites:
Ba  0.0000  0.0000  0.0000 x2
Ba  0.0812  0.5000  0.7371 x2
Mg  0.3718  0.0000  0.1138 x2
Cr  0.1999  0.0000  0.5919 x2
Mo  0.2834  0.5000  0.3448 x2
O  0.0270  0.0000  0.5952 x2
O  0.0500  0.5000  0.1127 x2
O  0.2791  0.2677  0.1024 x4
O  0.2904  0.2604  0.6021 x4

Peak list (6 most intense, 2θ from 10° to 90°, by intensity)
- 2θ = 29.54°, rel. 100, hkl 0 2 0
- 2θ = 31.32°, rel. 61, hkl 1 1 -2
- 2θ = 31.02°, rel. 29, hkl 2 0 1
- 2θ = 43.35°, rel. 24, hkl 2 2 1
- 2θ = 52.40°, rel. 20, hkl 6 0 -2
- 2θ = 61.31°, rel. 19, hkl 0 4 0

=====

# 3
Theoretical powder XRD pattern
Compound: Mn3FeP4O16
Radiation: a wavelength of 1.5418 Å
Structure: a structure optimized by DFT (GGA+U)
Intensities are scaled so that the largest is 100.

Structure:
a = 4.9207 Å, b = 6.0126 Å, c = 9.8537 Å
α = 90.00°, β = 90.27°, γ = 90.00°
Space group Pm (No. 6)
Unique sites:
Mn  0.0000  0.0000  0.0000 x1
Mn  0.1357  0.5000  0.4326 x1
Mn  0.6378  0.0000  0.5030 x1
Fe  0.5233  0.5000  0.9407 x1
P  0.1498  0.0000  0.3171 x1
P  0.4805  0.0000  0.8175 x1
P  0.6541  0.5000  0.6174 x1
P  0.9798  0.5000  0.1209 x1
O  0.2077  0.0000  0.1633 x1
O  0.2853  0.5000  0.0982 x1
O  0.2942  0.2005  0.3873 x2
O  0.3421  0.2028  0.8887 x2
O  0.3434  0.5000  0.5963 x1
O  0.4217  0.0000  0.6639 x1
O  0.7142  0.5000  0.7699 x1
O  0.7931  0.0000  0.8368 x1
O  0.7959  0.2994  0.5457 x2
O  0.8299  0.3020  0.0469 x2
O  0.8398  0.0000  0.3375 x1
O  0.9128  0.5000  0.2728 x1

Peak list (6 most intense, 2θ from 10° to 90°, by intensity)
- 2θ = 20.17°, rel. 100, hkl 1 0 -1
- 2θ = 29.72°, rel. 86, hkl 0 2 0
- 2θ = 36.18°, rel. 69, hkl 1 1 3
- 2θ = 25.07°, rel. 66, hkl 1 1 1
- 2θ = 18.00°, rel. 62, hkl 0 0 2
- 2θ = 36.05°, rel. 35, hkl 1 1 -3

=====

# 4
Theoretical powder XRD pattern
Compound: Fe4O5F3
Radiation: a wavelength of 1.5418 Å
Structure: a structure optimized by DFT (GGA+U)
Intensities are scaled so that the largest is 100.

Structure:
a = 6.4133 Å, b = 7.0529 Å, c = 12.0978 Å
α = 90.00°, β = 90.00°, γ = 90.00°
Space group Cmcm (No. 63)
Unique sites:
Fe  0.0000  0.0000  0.0000 x4
Fe  0.0000  0.0320  0.2500 x4
Fe  0.0000  0.4913  0.1284 x8
O  0.0000  0.3143  0.2500 x4
O  0.1943  0.0043  0.1189 x16
F  0.0000  0.3042  0.7500 x4
F  0.0000  0.3095  0.5016 x8

Peak list (6 most intense, 2θ from 10° to 90°, by intensity)
- 2θ = 25.25°, rel. 100, hkl 0 2 0
- 2θ = 35.19°, rel. 94, hkl 1 1 4
- 2θ = 27.82°, rel. 90, hkl 2 0 0
- 2θ = 51.24°, rel. 62, hkl 1 3 4
- 2θ = 54.12°, rel. 51, hkl 3 1 4
- 2θ = 66.74°, rel. 39, hkl 3 3 4

=====

# 5
Theoretical powder XRD pattern
Compound: Ca15NiIr4O24
Radiation: a wavelength of 1.5418 Å
Structure: a structure optimized by DFT (GGA+U)
Intensities are scaled so that the largest is 100.

Structure:
a = 9.2406 Å, b = 9.3858 Å, c = 13.1347 Å
α = 90.00°, β = 91.35°, γ = 90.00°
Space group C2 (No. 5)
Unique sites:
Ca  0.0000  0.0000  0.0000 x2
Ca  0.0000  0.0069  0.5000 x2
Ca  0.0000  0.6456  0.5000 x2
Ca  0.0008  0.1454  0.7502 x4
Ca  0.0017  0.7823  0.7548 x4
Ca  0.1748  0.4683  0.8227 x4
Ca  0.1810  0.3265  0.5704 x4
Ca  0.1811  0.3279  0.0670 x4
Ca  0.1827  0.4646  0.3200 x4
Ni  0.0000  0.6454  0.0000 x2
Ir  0.2484  0.6459  0.1233 x4
Ir  0.2500  0.1452  0.3743 x4
O  0.0594  0.5398  0.1412 x4
O  0.0638  0.5338  0.6555 x4
O  0.0653  0.2572  0.9022 x4
O  0.0660  0.2579  0.4032 x4
O  0.1211  0.8135  0.0817 x4
O  0.1294  0.9691  0.3385 x4
O  0.1296  0.8214  0.5893 x4
O  0.1298  0.9703  0.8390 x4
O  0.2302  0.5834  0.9764 x4
O  0.2402  0.2105  0.2266 x4
O  0.2410  0.5806  0.4771 x4
O  0.2430  0.2087  0.7277 x4

Peak list (6 most intense, 2θ from 10° to 90°, by intensity)
- 2θ = 18.92°, rel. 100, hkl 0 2 0
- 2θ = 33.08°, rel. 75, hkl 2 0 -4
- 2θ = 19.24°, rel. 75, hkl 1 1 2
- 2θ = 43.70°, rel. 35, hkl 4 2 0
- 2θ = 39.05°, rel. 32, hkl 4 0 0
- 2θ = 27.11°, rel. 21, hkl 0 0 4

=====

# 6
Theoretical powder XRD pattern
Compound: Ca2Nb2CoO8
Radiation: a wavelength of 1.5418 Å
Structure: a structure optimized by DFT (GGA+U)
Intensities are scaled so that the largest is 100.

Structure:
a = 19.0088 Å, b = 6.3698 Å, c = 5.4768 Å
α = 90.00°, β = 91.43°, γ = 90.00°
Space group C2/c (No. 15)
Unique sites:
Ca  0.2085  0.1785  0.2440 x8
Nb  0.1106  0.3469  0.7502 x8
Co  0.0000  0.1434  0.2500 x4
O  0.0567  0.1442  0.5790 x8
O  0.0691  0.3739  0.0875 x8
O  0.1824  0.4376  0.5002 x8
O  0.1838  0.1511  0.8435 x8

Peak list (6 most intense, 2θ from 10° to 90°, by intensity)
- 2θ = 31.61°, rel. 100, hkl 5 1 -1
- 2θ = 32.52°, rel. 88, hkl 0 2 1
- 2θ = 32.23°, rel. 86, hkl 5 1 1
- 2θ = 27.33°, rel. 73, hkl 5 1 0
- 2θ = 32.71°, rel. 57, hkl 0 0 2
- 2θ = 49.15°, rel. 54, hkl 5 3 0

=====

# 7
Theoretical powder XRD pattern
Compound: Li9Mn2Co5O16
Radiation: a wavelength of 1.5418 Å
Structure: a structure optimized by DFT (GGA+U)
Intensities are scaled so that the largest is 100.

Structure:
a = 8.4066 Å, b = 2.8845 Å, c = 11.8203 Å
α = 90.00°, β = 90.31°, γ = 90.00°
Space group Pm (No. 6)
Unique sites:
Li  0.0000  0.0000  0.0000 x1
Li  0.9998  0.0000  0.2408 x1
Li  0.2361  0.5000  0.8770 x1
Li  0.2474  0.5000  0.3699 x1
Li  0.5026  0.0000  0.4933 x1
Li  0.5042  0.0000  0.9995 x1
Li  0.7550  0.5000  0.6218 x1
Li  0.7596  0.5000  0.1174 x1
Li  0.9988  0.0000  0.7479 x1
Mn  0.2406  0.5000  0.1195 x1
Mn  0.5040  0.0000  0.7473 x1
Co  0.2478  0.5000  0.6206 x1
Co  0.5016  0.0000  0.2461 x1
Co  0.7512  0.5000  0.3702 x1
Co  0.7783  0.5000  0.8790 x1
Co  0.9968  0.0000  0.4977 x1
O  0.0010  0.5000  0.6166 x1
O  0.0228  0.5000  0.1221 x1
O  0.2458  0.0000  0.5108 x1
O  0.2532  0.0000  0.0096 x1
O  0.2546  0.0000  0.2343 x1
O  0.2666  0.0000  0.7313 x1
O  0.4836  0.5000  0.1273 x1
O  0.4922  0.5000  0.8556 x1
O  0.5029  0.5000  0.3670 x1
O  0.5040  0.5000  0.6355 x1
O  0.7283  0.0000  0.7552 x1
O  0.7443  0.0000  0.2537 x1
O  0.7452  0.0000  0.9884 x1
O  0.7539  0.0000  0.4878 x1
O  0.9915  0.5000  0.8664 x1
O  0.9970  0.5000  0.3796 x1

Peak list (6 most intense, 2θ from 10° to 90°, by intensity)
- 2θ = 18.30°, rel. 100, hkl 1 0 -2
- 2θ = 43.86°, rel. 53, hkl 0 1 4
- 2θ = 43.04°, rel. 27, hkl 4 0 0
- 2θ = 36.29°, rel. 25, hkl 1 1 2
- 2θ = 62.97°, rel. 21, hkl 4 1 -4
- 2θ = 35.53°, rel. 14, hkl 3 0 2

=====

# 8
Theoretical powder XRD pattern
Compound: Li8MnO6
Radiation: a wavelength of 1.5418 Å
Structure: a structure optimized by DFT (GGA+U)
Intensities are scaled so that the largest is 100.

Structure:
a = 5.4000 Å, b = 5.4000 Å, c = 14.8859 Å
α = 90.00°, β = 90.00°, γ = 120.00°
Space group R-3 (No. 148, hexagonal axes)
Unique sites:
Li  0.0000  0.0000  0.1580 x6
Li  0.0194  0.6465  0.3831 x18
Mn  0.0000  0.0000  0.5000 x3
O  0.0126  0.7057  0.5773 x18

Peak list (6 most intense, 2θ from 10° to 90°, by intensity)
- 2θ = 19.90°, rel. 100, hkl 1 0 1
- 2θ = 37.94°, rel. 87, hkl 1 1 3
- 2θ = 22.45°, rel. 76, hkl 0 1 2
- 2θ = 49.92°, rel. 63, hkl 1 1 6
- 2θ = 17.88°, rel. 44, hkl 0 0 3
- 2θ = 59.28°, rel. 35, hkl 3 0 0